Calculated powder diffraction line list of Nd2Sm2I5N2 for Cu Kα (λ = 1.5418 Å), from a GGA-PBE-relaxed structure.
Neutral-atom scattering factors, no anomalous dispersion.

Largest 8 diffraction maxima, by angle, 2θ from 10° to 80°:
2θ/deg  I_rel
10.37  22
27.39  30
27.89  69
29.71  26
30.51  100
32.85  22
41.81  74
54.67  21

Structural model:
```
11
Lattice="9.843 -1.972 0.000 9.843 1.972 0.000 -1.948 0.000 8.530" Properties=species:S:1:pos:R:3 pbc="T T T"
Nd -0.353 0.000 1.574
Nd 18.091 0.000 6.956
Sm 5.068 0.000 7.854
Sm 12.670 0.000 0.676
I 2.513 0.000 3.086
I 1.794 0.000 6.896
I 8.869 0.000 4.265
I 15.944 0.000 1.634
I 15.225 0.000 5.444
N 7.229 0.000 8.383
N 10.509 0.000 0.147
```